# Al4CdO7
Computed X-ray diffraction stick pattern, a wavelength of 1.5418 Å. Input: a cell relaxed with GGA-PBE.

Peak list (8 most intense, 2θ = 10–80°, low angle first)
- 14.56°, I = 52
- 22.61°, I = 33
- 24.84°, I = 49
- 26.03°, I = 100
- 32.95°, I = 39
- 34.44°, I = 31
- 34.70°, I = 47
- 37.82°, I = 27

Structural model:
```
Al4CdO7
1.0
6.3089 -4.4355 0.0000
6.3089 4.4355 0.0000
-1.4247 0.0000 5.2087
Al Cd O
8 2 14
direct
0.0606 0.1871 0.2399
0.1871 0.0606 0.7399
0.2583 0.4256 0.6866
0.4256 0.2583 0.1866
0.5744 0.7417 0.8134
0.7417 0.5744 0.3134
0.8129 0.9394 0.2601
0.9394 0.8129 0.7601
0.2909 0.7091 0.2500
0.7091 0.2909 0.7500
0.0266 0.9734 0.2500
0.1323 0.6329 0.8568
0.1376 0.2527 0.5746
0.2527 0.1376 0.0746
0.3179 0.4510 0.4040
0.3671 0.8677 0.6432
0.4510 0.3179 0.9040
0.5490 0.6821 0.0960
0.6329 0.1323 0.3568
0.6821 0.5490 0.5960
0.7473 0.8624 0.9254
0.8624 0.7473 0.4254
0.8677 0.3671 0.1432
0.9734 0.0266 0.7500
```